The following is a computed PXRD pattern of Mn3Zn3As4O16. It was derived from a structure optimized by DFT (GGA+U), using λ = 1.5418 Å (Cu Kα).
Neutral-atom scattering factors, no anomalous dispersion.

Lattice parameters (Å, degrees): 8.6053 5.4018 16.0684 90.00 109.22 90.00
Space group P2_1/c (No. 14)
Unique sites:
Mn1 0.0000 0.0000 0.0000 (multiplicity 2)
Mn2 0.2826 0.0372 0.6220 (multiplicity 4)
Zn1 0.2200 0.5982 0.7262 (multiplicity 4)
Zn2 0.5000 0.0000 0.5000 (multiplicity 2)
As1 0.0847 0.0241 0.3923 (multiplicity 4)
As2 0.4712 0.0039 0.8568 (multiplicity 4)
O1 0.0118 0.2475 0.5985 (multiplicity 4)
O2 0.0726 0.7368 0.1066 (multiplicity 4)
O3 0.1163 0.0794 0.2956 (multiplicity 4)
O4 0.2475 0.0966 0.4850 (multiplicity 4)
O5 0.3226 0.5624 0.2552 (multiplicity 4)
O6 0.3405 0.0853 0.1552 (multiplicity 4)
O7 0.4199 0.6813 0.4285 (multiplicity 4)
O8 0.4968 0.1827 0.3790 (multiplicity 4)

Largest 6 diffraction maxima, in order of falling intensity, 15° ≤ 2θ ≤ 90°:
Position (°2θ), I_rel
28.9, 100
36.1, 73
26.5, 72
32.4, 57
33.2, 57
24.0, 42